Record 1
Computed powder X-ray diffraction pattern of PaTaVMo for λ = 1.5418 Å (Cu Kα), from a DFT-relaxed cell (GGA-PBE, Alexandria).

Atomic structure:
```
data_PaTaVMo
_chemical_formula_sum 'Pa4 Ta4 V4 Mo4'
_cell_length_a 6.5987
_cell_length_b 6.5987
_cell_length_c 6.5987
_cell_angle_alpha 90.00
_cell_angle_beta 90.00
_cell_angle_gamma 90.00
_space_group_name_H-M_alt 'F -4 3 m'
_space_group_IT_number 216
_space_group_name_Hall 'F -4 2 3'
loop_
_atom_site_label
_atom_site_type_symbol
_atom_site_fract_x
_atom_site_fract_y
_atom_site_fract_z
_atom_site_occupancy
Pa1 Pa 0.0000 0.0000 0.0000 1
Ta1 Ta 0.0000 0.0000 0.5000 1
V1 V 0.2500 0.2500 0.2500 1
Mo1 Mo 0.2500 0.2500 0.7500 1
```

Top 8 peaks for 15 to 90 degrees two-theta, sorted by position:
2θ (°)	I (rel.)
27.03	265
38.59	1000
47.75	82
55.72	172
63.00	113
69.83	350
82.73	112
89.01	59



Record 2
Computed powder X-ray diffraction pattern of Pa6Tc5Mo for λ = 1.5418 Å (Cu Kα), from a DFT-relaxed cell (GGA-PBE, Alexandria).

Atomic structure:
```
data_Pa6Tc5Mo
_chemical_formula_sum 'Pa6 Tc5 Mo1'
_cell_length_a 4.0230
_cell_length_b 7.5592
_cell_length_c 8.3071
_cell_angle_alpha 90.00
_cell_angle_beta 103.05
_cell_angle_gamma 90.00
_space_group_name_H-M_alt 'P 1 2/m 1'
_space_group_IT_number 10
_space_group_name_Hall '-P 2y'
loop_
_atom_site_label
_atom_site_type_symbol
_atom_site_fract_x
_atom_site_fract_y
_atom_site_fract_z
_atom_site_occupancy
Pa1 Pa 0.0000 0.2448 0.0000 1
Pa2 Pa 0.2793 0.2487 0.6660 1
Tc1 Tc 0.1878 0.5000 0.3352 1
Tc2 Tc 0.2873 0.0000 0.3333 1
Tc3 Tc 0.5000 0.0000 0.0000 1
Mo1 Mo 0.5000 0.5000 0.0000 1
```

Top 8 peaks for 15 to 90 degrees two-theta, sorted by position:
2θ (°)	I (rel.)
23.54	240
33.21	721
36.45	1000
36.81	979
48.15	256
59.75	271
61.23	224
61.95	219